Entry 1:
The following is a computed XRD peak list of Ni2H. It was derived from a structure optimized by DFT (PBE), using Cu Kα X-rays.
Lines closer than 0.1° are merged.

Principal peaks in the range 2θ from 10° to 80°, sorted by position:
- 40.9°, rel. 23.8, (1 0 0)
- 43.2°, rel. 27.0, (0 0 2)
- 46.5°, rel. 100.0, (1 0 1)
- 61.0°, rel. 14.6, (0 1 2)
- 74.4°, rel. 14.8, (1 1 0)

Atomic structure:
Cell: 2.5502 2.5502 4.1879 Å, 90.00 90.00 120.00°
Element x y z (fractional)
Ni (0.3333, 0.6667, 0.2404)
Ni (0.6667, 0.3333, 0.7596)
H (0.0000, 0.0000, 0.5000)

***

Entry 2:
The following is a computed XRD peak list of PrNiSnH. It was derived from a structure optimized by DFT (PBE), using Cu Kα X-rays.
Lines closer than 0.1° are merged.

Principal peaks in the range 2θ from 10° to 80°, sorted by position:
- 31.6°, rel. 86.9, (1 1 2)
- 31.9°, rel. 20.7, (2 1 0)
- 32.3°, rel. 37.3, (2 0 2)
- 33.6°, rel. 100.0, (2 1 1)
- 33.8°, rel. 29.7, (1 0 3)
- 37.6°, rel. 61.5, (0 1 3)
- 38.5°, rel. 36.5, (3 0 1)
- 40.9°, rel. 46.3, (0 2 0)
- 57.5°, rel. 23.0, (3 2 1)
- 61.5°, rel. 40.0, (3 1 4)

Atomic structure:
Cell: 7.2881 4.4097 8.5419 Å, 90.00 90.00 90.00°
Element x y z (fractional)
Pr (0.0132, 0.2500, 0.1890)
Pr (0.4868, 0.7500, 0.6890)
Pr (0.5132, 0.2500, 0.3110)
Pr (0.9868, 0.7500, 0.8110)
Ni (0.2190, 0.7500, 0.4011)
Ni (0.2810, 0.2500, 0.9011)
Ni (0.7190, 0.7500, 0.0989)
Ni (0.7810, 0.2500, 0.5989)
Sn (0.1578, 0.2500, 0.5685)
Sn (0.3422, 0.7500, 0.0685)
Sn (0.6578, 0.2500, 0.9315)
Sn (0.8422, 0.7500, 0.4315)
H (0.0618, 0.2500, 0.9193)
H (0.4382, 0.7500, 0.4193)
H (0.5618, 0.2500, 0.5807)
H (0.9382, 0.7500, 0.0807)

***

Entry 3:
The following is a computed XRD peak list of Zr6NiSn2H10. It was derived from a structure optimized by DFT (PBE), using Cu Kα X-rays.
Lines closer than 0.1° are merged.

Principal peaks in the range 2θ from 10° to 80°, sorted by position:
- 32.7°, rel. 100.0, (1 1 2)
- 33.5°, rel. 53.9, (2 1 0)
- 35.2°, rel. 67.1, (2 0 2)
- 35.7°, rel. 22.7, (2 1 1)
- 38.2°, rel. 61.0, (3 0 0)
- 41.8°, rel. 41.0, (2 1 2)
- 49.5°, rel. 17.1, (0 0 4)
- 61.1°, rel. 16.3, (2 1 4)
- 62.6°, rel. 30.9, (3 2 2)
- 64.2°, rel. 16.3, (3 0 4)

Atomic structure:
Cell: 8.1647 8.1647 7.3673 Å, 90.00 90.00 120.00°
Element x y z (fractional)
Zr (0.0000, 0.7414, 0.0000)
Zr (0.0000, 0.7414, 0.5000)
Zr (0.0475, 0.4156, 0.2500)
Zr (0.2586, 0.2586, 0.0000)
Zr (0.2586, 0.2586, 0.5000)
Zr (0.3682, 0.9525, 0.2500)
Zr (0.4156, 0.0475, 0.7500)
Zr (0.5844, 0.6318, 0.2500)
Zr (0.6318, 0.5844, 0.7500)
Zr (0.7414, 0.0000, 0.0000)
Zr (0.7414, 0.0000, 0.5000)
Zr (0.9525, 0.3682, 0.7500)
Ni (0.0000, 0.0000, 0.2500)
Ni (0.0000, 0.0000, 0.7500)
Sn (0.3333, 0.6667, 0.5404)
Sn (0.3333, 0.6667, 0.9596)
Sn (0.6667, 0.3333, 0.0404)
Sn (0.6667, 0.3333, 0.4596)
H (0.0000, 0.0000, 0.0000)
H (0.0000, 0.0000, 0.5000)
H (0.0000, 0.2733, 0.0000)
H (0.0000, 0.2733, 0.5000)
H (0.1044, 0.7029, 0.2500)
H (0.1177, 0.8784, 0.7500)
H (0.1216, 0.2393, 0.7500)
H (0.2393, 0.1216, 0.2500)
H (0.2733, 0.0000, 0.0000)
H (0.2733, 0.0000, 0.5000)
H (0.2971, 0.4015, 0.2500)
H (0.4015, 0.2971, 0.7500)
H (0.5985, 0.8956, 0.2500)
H (0.7029, 0.1044, 0.7500)
H (0.7267, 0.7267, 0.0000)
H (0.7267, 0.7267, 0.5000)
H (0.7607, 0.8823, 0.7500)
H (0.8784, 0.1177, 0.2500)
H (0.8823, 0.7607, 0.2500)
H (0.8956, 0.5985, 0.7500)